Entry 1:
# Mo2Ir
Simulated powder diffraction line list, Cu Kα (λ = 1.5418 Å). Input: a cell relaxed with PBE.
Peak positions follow from Bragg's law for the DFT cell and can differ from measured ones.

Crystal structure
Unit cell a=5.323 b=5.323 c=6.702 alpha=104.71 beta=104.71 gamma=30.20
Sites, in units of the cell vectors:
Mo1 0.000 0.000 0.000
Mo2 0.060 0.060 0.609
Mo3 0.383 0.383 0.289
Mo4 0.729 0.729 0.948
Ir1 0.336 0.336 0.670
Ir2 0.664 0.664 0.333

Peak list (12 most intense, 15 to 90 degrees two-theta, in order of falling intensity)
2θ (°), d [Å], I_rel
42.3, 2.135, 100
42.5, 2.125, 67
39.6, 2.278, 52
37.3, 2.409, 38
41.9, 2.155, 35
66.8, 1.400, 22
74.0, 1.281, 18
55.7, 1.651, 18
37.0, 2.432, 17
19.5, 4.556, 17
80.1, 1.198, 14
81.2, 1.185, 13



Entry 2:
# Sm5Dy2Ho
Simulated powder diffraction line list, Cu Kα (λ = 1.5418 Å). Input: a cell relaxed with PBE.
Peak positions follow from Bragg's law for the DFT cell and can differ from measured ones.

Crystal structure
Unit cell a=6.812 b=9.297 c=9.309 alpha=85.66 beta=71.73 gamma=71.75
Sites, in units of the cell vectors:
Sm1 0.124 0.147 0.480
Sm2 0.126 0.979 0.144
Sm3 0.127 0.479 0.648
Sm4 0.375 0.603 0.268
Sm5 0.376 0.773 0.606
Sm6 0.624 0.227 0.394
Sm7 0.625 0.397 0.732
Sm8 0.873 0.521 0.352
Sm9 0.874 0.021 0.856
Sm10 0.876 0.853 0.520
Dy1 0.124 0.646 0.980
Dy2 0.376 0.104 0.773
Dy3 0.624 0.896 0.227
Dy4 0.876 0.354 0.020
Ho1 0.374 0.271 0.103
Ho2 0.626 0.729 0.897

Peak list (12 most intense, 15 to 90 degrees two-theta, in order of falling intensity)
2θ (°), d [Å], I_rel
32.3, 2.771, 100
31.1, 2.879, 25
28.2, 3.161, 24
50.0, 1.825, 20
56.0, 1.641, 17
60.8, 1.524, 16
42.5, 2.129, 16
60.0, 1.542, 15
82.4, 1.170, 9
60.1, 1.540, 8
82.5, 1.169, 5
86.0, 1.131, 4



Entry 3:
# Ac2GeO5
Simulated powder diffraction line list, Cu Kα (λ = 1.5418 Å). Input: a cell relaxed with PBE.
Peak positions follow from Bragg's law for the DFT cell and can differ from measured ones.

Crystal structure
Unit cell a=8.677 b=8.677 c=8.677 alpha=135.50 beta=135.50 gamma=64.76
Sites, in units of the cell vectors:
Ac1 0.000 0.000 0.000
Ac2 0.000 0.000 0.500
Ac3 0.000 0.500 0.000
Ac4 0.500 0.000 0.500
Ge1 0.375 0.625 0.750
Ge2 0.625 0.375 0.250
O1 0.125 0.875 0.250
O2 0.205 0.690 0.516
O3 0.310 0.326 0.516
O4 0.310 0.795 0.984
O5 0.326 0.310 0.016
O6 0.674 0.690 0.984
O7 0.690 0.205 0.016
O8 0.690 0.674 0.484
O9 0.795 0.310 0.484
O10 0.875 0.125 0.750

Peak list (12 most intense, 15 to 90 degrees two-theta, in order of falling intensity)
2θ (°), d [Å], I_rel
22.7, 3.921, 100
46.3, 1.961, 84
29.8, 2.998, 81
31.0, 2.881, 61
35.7, 2.518, 29
24.3, 3.664, 27
53.7, 1.706, 24
38.8, 2.323, 23
33.5, 2.677, 21
64.7, 1.441, 20
75.5, 1.259, 17
45.4, 1.999, 17



Entry 4:
# ZnCo3Si2
Simulated powder diffraction line list, Cu Kα (λ = 1.5418 Å). Input: a cell relaxed with PBE.
Peak positions follow from Bragg's law for the DFT cell and can differ from measured ones.

Crystal structure
Unit cell a=5.001 b=5.001 c=3.618 alpha=90.00 beta=90.00 gamma=120.00
Sites, in units of the cell vectors:
Zn1 0.000 0.000 0.000
Co1 0.000 0.500 0.000
Co2 0.500 0.000 0.000
Co3 0.500 0.500 0.000
Si1 0.333 0.667 0.500
Si2 0.667 0.333 0.500

Peak list (12 most intense, 15 to 90 degrees two-theta, in order of falling intensity)
2θ (°), d [Å], I_rel
49.0, 1.858, 100
24.6, 3.618, 56
41.7, 2.165, 53
67.5, 1.388, 23
50.4, 1.809, 18
76.1, 1.250, 15
81.4, 1.182, 9
35.9, 2.500, 7
32.2, 2.777, 6
44.0, 2.057, 4
20.5, 4.331, 3
63.5, 1.466, 3



Entry 5:
# Na3HgAu
Simulated powder diffraction line list, Cu Kα (λ = 1.5418 Å). Input: a cell relaxed with PBE.
Peak positions follow from Bragg's law for the DFT cell and can differ from measured ones.

Crystal structure
Unit cell a=5.565 b=6.634 c=7.465 alpha=107.73 beta=104.90 gamma=95.50
Sites, in units of the cell vectors:
Na1 0.045 0.437 0.198
Na2 0.251 0.878 0.569
Na3 0.435 0.234 0.985
Na4 0.565 0.766 0.015
Na5 0.749 0.122 0.431
Na6 0.955 0.563 0.802
Hg1 0.342 0.357 0.582
Hg2 0.658 0.643 0.418
Au1 0.145 0.980 0.183
Au2 0.855 0.020 0.817

Peak list (12 most intense, 15 to 90 degrees two-theta, in order of falling intensity)
2θ (°), d [Å], I_rel
19.9, 4.460, 100
22.1, 4.016, 93
31.7, 2.819, 79
35.2, 2.547, 72
35.5, 2.527, 70
22.5, 3.953, 67
17.9, 4.954, 59
32.5, 2.758, 59
24.0, 3.710, 58
36.3, 2.478, 53
38.3, 2.350, 43
34.2, 2.618, 43



Entry 6:
# BaHPd
Simulated powder diffraction line list, Cu Kα (λ = 1.5418 Å). Input: a cell relaxed with PBE.
Peak positions follow from Bragg's law for the DFT cell and can differ from measured ones.

Crystal structure
Unit cell a=4.083 b=4.083 c=3.709 alpha=90.00 beta=90.00 gamma=90.00
Sites, in units of the cell vectors:
Ba1 0.000 0.000 0.000
H1 0.500 0.500 0.000
Pd1 0.500 0.500 0.500

Peak list (12 most intense, 15 to 90 degrees two-theta, in order of falling intensity)
2θ (°), d [Å], I_rel
32.6, 2.746, 100
31.0, 2.887, 59
56.1, 1.638, 42
44.4, 2.042, 21
59.2, 1.560, 18
68.3, 1.373, 12
73.3, 1.291, 10
74.2, 1.278, 9
49.1, 1.855, 8
81.3, 1.183, 7
64.6, 1.444, 7
85.2, 1.139, 7



Entry 7:
# Mg3Zr2Cu4
Simulated powder diffraction line list, Cu Kα (λ = 1.5418 Å). Input: a cell relaxed with PBE.
Peak positions follow from Bragg's law for the DFT cell and can differ from measured ones.

Crystal structure
Unit cell a=4.533 b=4.533 c=8.604 alpha=90.00 beta=90.00 gamma=120.00
Sites, in units of the cell vectors:
Mg1 0.000 0.000 0.000
Mg2 0.333 0.667 0.422
Mg3 0.667 0.333 0.578
Zr1 0.333 0.667 0.792
Zr2 0.667 0.333 0.208
Cu1 0.000 0.000 0.350
Cu2 0.000 0.000 0.650
Cu3 0.333 0.667 0.104
Cu4 0.667 0.333 0.896

Peak list (12 most intense, 15 to 90 degrees two-theta, in order of falling intensity)
2θ (°), d [Å], I_rel
39.8, 2.267, 100
38.9, 2.316, 99
24.9, 3.572, 39
56.8, 1.620, 31
71.6, 1.318, 30
72.2, 1.309, 16
69.8, 1.347, 13
48.2, 1.886, 11
85.7, 1.133, 10
20.6, 4.302, 8
83.5, 1.158, 8
47.5, 1.914, 7



What did the third record say?
# Ac2GeO5
Simulated powder diffraction line list, Cu Kα (λ = 1.5418 Å). Input: a cell relaxed with PBE.
Peak positions follow from Bragg's law for the DFT cell and can differ from measured ones.

Crystal structure
Unit cell a=8.677 b=8.677 c=8.677 alpha=135.50 beta=135.50 gamma=64.76
Sites, in units of the cell vectors:
Ac1 0.000 0.000 0.000
Ac2 0.000 0.000 0.500
Ac3 0.000 0.500 0.000
Ac4 0.500 0.000 0.500
Ge1 0.375 0.625 0.750
Ge2 0.625 0.375 0.250
O1 0.125 0.875 0.250
O2 0.205 0.690 0.516
O3 0.310 0.326 0.516
O4 0.310 0.795 0.984
O5 0.326 0.310 0.016
O6 0.674 0.690 0.984
O7 0.690 0.205 0.016
O8 0.690 0.674 0.484
O9 0.795 0.310 0.484
O10 0.875 0.125 0.750

Peak list (12 most intense, 15 to 90 degrees two-theta, in order of falling intensity)
2θ (°), d [Å], I_rel
22.7, 3.921, 100
46.3, 1.961, 84
29.8, 2.998, 81
31.0, 2.881, 61
35.7, 2.518, 29
24.3, 3.664, 27
53.7, 1.706, 24
38.8, 2.323, 23
33.5, 2.677, 21
64.7, 1.441, 20
75.5, 1.259, 17
45.4, 1.999, 17



- What is the formula in the second record?
  Sm5Dy2Ho